No. 1
Computed powder XRD pattern of K2NaCdAs2 for Cu Kα (weighted mean of Kα1 and Kα2), from a structure optimized by DFT (PBE).
Kinematic intensities with the Lorentz-polarization factor, no thermal factor.

Crystal structure
Lattice parameters (Å, degrees): 6.748 15.855 6.680 90.00 90.00 90.00
Space group Ibam (No. 72)
Symmetry-distinct sites (fractional):
K: 0.245 0.175 0.000
Na: 0.000 0.000 0.250
Cd: 0.000 0.500 0.250
As: 0.225 0.396 0.000

Most intense lines, 10 to 80 degrees two-theta, low angle first:
- 2θ 11.2, intensity 100, hkl 0 2 0
- 2θ 14.3, intensity 82, hkl 1 1 0
- 2θ 29.4, intensity 60, hkl 1 4 1
- 2θ 34.9, intensity 68, hkl 2 4 0
- 2θ 35.1, intensity 70, hkl 0 4 2
- 2θ 37.9, intensity 84, hkl 2 0 2


No. 2
Computed powder XRD pattern of Ti5Sn2P2 for Cu Kα (weighted mean of Kα1 and Kα2), from a structure optimized by DFT (PBE).
Kinematic intensities with the Lorentz-polarization factor, no thermal factor.

Crystal structure
Lattice parameters (Å, degrees): 13.557 6.826 6.696 90.00 90.00 90.00
Space group Cmce (No. 64)
Symmetry-distinct sites (fractional):
Ti: 0.000 0.000 0.000
Ti: 0.111 0.160 0.335
Sn: 0.216 0.000 0.000
P: 0.000 0.134 0.633

Most intense lines, 10 to 80 degrees two-theta, low angle first:
- 2θ 29.3, intensity 62, hkl 2 2 0
- 2θ 29.8, intensity 47, hkl 2 0 2
- 2θ 37.4, intensity 52, hkl 4 2 0
- 2θ 37.6, intensity 73, hkl 0 2 2
- 2θ 37.8, intensity 55, hkl 4 0 2
- 2θ 38.2, intensity 100, hkl 5 1 1


No. 3
Computed powder XRD pattern of ZrFe6Ge6 for Cu Kα (weighted mean of Kα1 and Kα2), from a structure optimized by DFT (PBE).
Kinematic intensities with the Lorentz-polarization factor, no thermal factor.

Crystal structure
Lattice parameters (Å, degrees): 5.0682 5.0682 8.0583 90.00 90.00 120.00
Space group P6/mmm (No. 191)
Symmetry-distinct sites (fractional):
Zr: 0.0000 0.0000 0.0000
Fe: 0.0000 0.5000 0.2494
Ge: 0.0000 0.0000 0.3425
Ge: 0.3333 0.6667 0.0000
Ge: 0.3333 0.6667 0.5000

Most intense lines, 10 to 80 degrees two-theta, low angle first:
- 2θ 35.4, intensity 73, hkl 1 1 0
- 2θ 39.3, intensity 35, hkl 1 0 3
- 2θ 41.1, intensity 52, hkl 2 0 0
- 2θ 42.1, intensity 100, hkl 1 1 2
- 2θ 47.2, intensity 76, hkl 2 0 2
- 2θ 75.0, intensity 33, hkl 2 2 0


No. 4
Computed powder XRD pattern of La7Pr3Th2 for Cu Kα (weighted mean of Kα1 and Kα2), from a structure optimized by DFT (PBE).
Kinematic intensities with the Lorentz-polarization factor, no thermal factor.

Crystal structure
Lattice parameters (Å, degrees): 6.069 3.649 19.643 90.00 93.35 90.00
Space group P2/m (No. 10)
Symmetry-distinct sites (fractional):
La: 0.000 0.000 0.000
La: 0.182 0.500 0.180
La: 0.260 0.500 0.539
La: 0.326 0.000 0.852
Pr: 0.225 0.000 0.363
Pr: 0.500 0.500 0.000
Th: 0.284 0.500 0.704

Most intense lines, 10 to 80 degrees two-theta, low angle first:
- 2θ 27.3, intensity 20, hkl 0 0 6
- 2θ 29.5, intensity 48, hkl 2 0 -1
- 2θ 30.3, intensity 100, hkl 1 1 2
- 2θ 30.5, intensity 21, hkl 0 1 4
- 2θ 31.9, intensity 23, hkl 1 0 6
- 2θ 33.5, intensity 32, hkl 1 1 -4


No. 5
Computed powder XRD pattern of CaYGaPt for Cu Kα (weighted mean of Kα1 and Kα2), from a structure optimized by DFT (PBE).
Kinematic intensities with the Lorentz-polarization factor, no thermal factor.

Crystal structure
Lattice parameters (Å, degrees): 7.095 7.095 7.095 90.00 90.00 90.00
Space group F-43m (No. 216)
Symmetry-distinct sites (fractional):
Ca: 0.000 0.000 0.000
Y: 0.000 0.000 0.500
Ga: 0.250 0.250 0.250
Pt: 0.250 0.250 0.750

Most intense lines, 10 to 80 degrees two-theta, low angle first:
- 2θ 21.7, intensity 24, hkl 1 1 1
- 2θ 25.1, intensity 13, hkl 2 0 0
- 2θ 35.8, intensity 100, hkl 2 2 0
- 2θ 42.2, intensity 13, hkl 3 1 1
- 2θ 51.5, intensity 17, hkl 4 0 0
- 2θ 64.3, intensity 35, hkl 4 2 2


No. 6
Computed powder XRD pattern of Sm2AlO4 for Cu Kα (weighted mean of Kα1 and Kα2), from a structure optimized by DFT (PBE).
Kinematic intensities with the Lorentz-polarization factor, no thermal factor.

Crystal structure
Lattice parameters (Å, degrees): 10.110 3.094 6.181 90.00 117.34 90.00
Space group C2/m (No. 12)
Symmetry-distinct sites (fractional):
Sm: 0.159 0.000 0.191
Al: 0.000 0.500 0.500
O: 0.050 0.500 0.836
O: 0.142 0.000 0.558

Most intense lines, 10 to 80 degrees two-theta, low angle first:
- 2θ 18.9, intensity 69, hkl 2 0 -1
- 2θ 29.3, intensity 68, hkl 2 0 -2
- 2θ 31.0, intensity 53, hkl 2 0 1
- 2θ 32.5, intensity 100, hkl 1 1 -1
- 2θ 35.6, intensity 43, hkl 4 0 -1
- 2θ 42.0, intensity 84, hkl 3 1 0


No. 7
Computed powder XRD pattern of RbDy6S8 for Cu Kα (weighted mean of Kα1 and Kα2), from a structure optimized by DFT (PBE).
Kinematic intensities with the Lorentz-polarization factor, no thermal factor.

Crystal structure
Lattice parameters (Å, degrees): 11.3144 11.3144 12.6779 90.00 90.00 120.00
Space group R-3 (No. 148, hexagonal axes)
Symmetry-distinct sites (fractional):
Rb: 0.0000 0.0000 0.0000
Dy: 0.0000 0.1867 0.3814
S: 0.0000 0.0000 0.2537
S: 0.0051 0.2754 0.5853

Most intense lines, 10 to 80 degrees two-theta, low angle first:
- 2θ 11.4, intensity 100, hkl 1 0 1
- 2θ 21.0, intensity 29, hkl 0 0 3
- 2θ 25.0, intensity 75, hkl 3 -1 1
- 2θ 27.9, intensity 54, hkl 3 -2 2
- 2θ 37.3, intensity 30, hkl 2 1 4
- 2θ 38.3, intensity 39, hkl 2 2 3


No. 8
Computed powder XRD pattern of Li8Cd6Rh for Cu Kα (weighted mean of Kα1 and Kα2), from a structure optimized by DFT (PBE).
Kinematic intensities with the Lorentz-polarization factor, no thermal factor.

Crystal structure
Lattice parameters (Å, degrees): 7.8915 7.8915 14.9808 90.00 90.00 120.00
Space group R-3 (No. 148, hexagonal axes)
Symmetry-distinct sites (fractional):
Li: 0.0000 0.0000 0.2424
Li: 0.0437 0.2688 0.9053
Cd: 0.0159 0.2393 0.4087
Rh: 0.0000 0.0000 0.0000

Most intense lines, 10 to 80 degrees two-theta, low angle first:
- 2θ 17.6, intensity 43, hkl 0 1 2
- 2θ 26.8, intensity 43, hkl 0 2 1
- 2θ 28.8, intensity 100, hkl 2 -1 3
- 2θ 35.3, intensity 57, hkl 3 -1 1
- 2θ 36.8, intensity 83, hkl 3 -2 2
- 2θ 42.5, intensity 66, hkl 2 1 4